Structure and simulated powder X-ray diffraction pattern of Ti2CdO6 (a DFT-relaxed cell (PBE, the Materials Project); λ = 1.5418 Å (Cu Kα)).

Top 10 peaks for 2θ from 10° to 80°, in order of falling intensity:
two_theta	I/Imax	(hkl)
27.50	1000	1 0 1
52.68	353	2 -1 2
34.38	265	1 1 0
44.58	240	2 0 1
57.48	229	3 -1 1
61.59	135	3 0 0
19.65	120	1 0 0
39.60	97	1 1 1
79.16	90	3 1 1
63.32	79	1 0 3

Crystal structure
```
data_Ti2CdO6
_chemical_formula_sum 'Ti2 Cd1 O6'
_space_group_name_H-M_alt 'P -3 1 m'
_space_group_IT_number 162
_space_group_name_Hall '-P 3 2'
_cell_length_a 5.2163
_cell_length_b 5.2163
_cell_length_c 4.6595
_cell_angle_alpha 90.00
_cell_angle_beta 90.00
_cell_angle_gamma 120.00
loop_
_atom_site_label
_atom_site_fract_x
_atom_site_fract_y
_atom_site_fract_z
Ti1 0.3333 0.6667 0.0000
Cd1 0.0000 0.0000 0.5000
O1 0.0000 0.3646 0.2248
```